Entry 1:
Simulated powder XRD pattern
Compound: LaCd11Pt
Radiation: CuKα
Structure: DFT lattice parameters and positions (GGA-PBE)
Neutral-atom scattering factors, no anomalous dispersion.

Largest 10 diffraction maxima, in order of falling intensity, 2θ = 15–90°:
2θ = 35.62°, rel. 100
2θ = 35.94°, rel. 57
2θ = 40.30°, rel. 43
2θ = 40.06°, rel. 29
2θ = 36.16°, rel. 28
2θ = 30.74°, rel. 21
2θ = 39.87°, rel. 20
2θ = 64.42°, rel. 16
2θ = 40.63°, rel. 15
2θ = 64.02°, rel. 14

Cell and atoms:
Lattice parameters (Å, degrees): 7.7083 7.7083 7.6399 97.82 97.82 136.35
Sites, in units of the cell vectors:
La 0.0000 0.0000 0.0000
Cd 0.0000 0.0000 0.5000
Cd 0.0000 0.5000 0.0000
Cd 0.0205 0.3638 0.3591
Cd 0.2946 0.5038 0.7840
Cd 0.3638 0.0205 0.3591
Cd 0.4962 0.7054 0.2160
Cd 0.5000 0.0000 0.0000
Cd 0.5038 0.2946 0.7840
Cd 0.6362 0.9795 0.6409
Cd 0.7054 0.4962 0.2160
Cd 0.9795 0.6362 0.6409
Pt 0.5000 0.5000 0.5000



Entry 2:
Simulated powder XRD pattern
Compound: LaCd3Pt3
Radiation: CuKα
Structure: DFT lattice parameters and positions (GGA-PBE)
Neutral-atom scattering factors, no anomalous dispersion.

Largest 10 diffraction maxima, in order of falling intensity, 2θ = 15–90°:
2θ = 36.92°, rel. 100
2θ = 40.16°, rel. 26
2θ = 47.30°, rel. 21
2θ = 30.86°, rel. 21
2θ = 30.67°, rel. 19
2θ = 70.86°, rel. 15
2θ = 20.06°, rel. 12
2θ = 52.00°, rel. 10
2θ = 77.71°, rel. 10
2θ = 51.49°, rel. 10

Cell and atoms:
Lattice parameters (Å, degrees): 8.8521 8.8521 4.4905 90.00 90.00 120.00
Sites, in units of the cell vectors:
La 0.3333 0.6667 0.2500
La 0.6667 0.3333 0.7500
Cd 0.0313 0.7734 0.7500
Cd 0.2266 0.2579 0.7500
Cd 0.2579 0.0313 0.2500
Cd 0.7421 0.9687 0.7500
Cd 0.7734 0.7421 0.2500
Cd 0.9687 0.2266 0.2500
Pt 0.0458 0.4416 0.7500
Pt 0.3958 0.9542 0.7500
Pt 0.4416 0.3958 0.2500
Pt 0.5584 0.6042 0.7500
Pt 0.6042 0.0458 0.2500
Pt 0.9542 0.5584 0.2500



Entry 3:
Simulated powder XRD pattern
Compound: La2CdSb4Pt3
Radiation: CuKα
Structure: DFT lattice parameters and positions (GGA-PBE)
Neutral-atom scattering factors, no anomalous dispersion.

Largest 10 diffraction maxima, in order of falling intensity, 2θ = 15–90°:
2θ = 31.36°, rel. 100
2θ = 37.69°, rel. 54
2θ = 43.23°, rel. 30
2θ = 49.82°, rel. 24
2θ = 64.12°, rel. 20
2θ = 54.36°, rel. 19
2θ = 46.62°, rel. 14
2θ = 61.44°, rel. 14
2θ = 71.87°, rel. 13
2θ = 82.93°, rel. 10

Cell and atoms:
Lattice parameters (Å, degrees): 4.7732 4.7732 10.6699 90.00 90.00 90.00
Sites, in units of the cell vectors:
La 0.0000 0.5000 0.2485
La 0.5000 0.0000 0.7515
Cd 0.0000 0.0000 0.5000
Sb 0.0000 0.0000 0.0000
Sb 0.0000 0.5000 0.6382
Sb 0.5000 0.0000 0.3618
Sb 0.5000 0.5000 0.0000
Pt 0.0000 0.5000 0.8831
Pt 0.5000 0.0000 0.1169
Pt 0.5000 0.5000 0.5000



Entry 4:
Simulated powder XRD pattern
Compound: LaCd2SnPt2
Radiation: CuKα
Structure: DFT lattice parameters and positions (GGA-PBE)
Neutral-atom scattering factors, no anomalous dispersion.

Largest 10 diffraction maxima, in order of falling intensity, 2θ = 15–90°:
2θ = 33.21°, rel. 100
2θ = 47.55°, rel. 72
2θ = 23.31°, rel. 54
2θ = 33.04°, rel. 50
2θ = 16.35°, rel. 46
2θ = 59.22°, rel. 37
2θ = 47.67°, rel. 36
2θ = 79.38°, rel. 33
2θ = 88.75°, rel. 25
2θ = 40.83°, rel. 25

Cell and atoms:
Lattice parameters (Å, degrees): 5.3960 5.3960 10.8446 90.00 90.00 90.00
Sites, in units of the cell vectors:
La 0.0000 0.0000 0.0000
La 0.5000 0.5000 0.5000
Cd 0.0000 0.5000 0.2500
Cd 0.0000 0.5000 0.7500
Cd 0.5000 0.0000 0.2500
Cd 0.5000 0.0000 0.7500
Sn 0.0000 0.0000 0.5000
Sn 0.5000 0.5000 0.0000
Pt 0.0000 0.0000 0.2580
Pt 0.0000 0.0000 0.7420
Pt 0.5000 0.5000 0.2420
Pt 0.5000 0.5000 0.7580



Entry 5:
Simulated powder XRD pattern
Compound: LaZnCd2Pt2
Radiation: CuKα
Structure: DFT lattice parameters and positions (GGA-PBE)
Neutral-atom scattering factors, no anomalous dispersion.

Largest 10 diffraction maxima, in order of falling intensity, 2θ = 15–90°:
2θ = 26.37°, rel. 100
2θ = 44.89°, rel. 69
2θ = 41.33°, rel. 59
2θ = 31.03°, rel. 44
2θ = 49.70°, rel. 36
2θ = 36.75°, rel. 30
2θ = 28.90°, rel. 29
2θ = 21.08°, rel. 27
2θ = 77.87°, rel. 27
2θ = 59.88°, rel. 19

Cell and atoms:
Lattice parameters (Å, degrees): 4.3687 4.3687 16.0070 90.00 90.00 90.00
Sites, in units of the cell vectors:
La 0.0000 0.0000 0.0000
La 0.5000 0.5000 0.5000
Zn 0.0000 0.0000 0.5000
Zn 0.5000 0.5000 0.0000
Cd 0.0000 0.5000 0.2500
Cd 0.0000 0.5000 0.7500
Cd 0.5000 0.0000 0.2500
Cd 0.5000 0.0000 0.7500
Pt 0.0000 0.0000 0.3542
Pt 0.0000 0.0000 0.6458
Pt 0.5000 0.5000 0.1458
Pt 0.5000 0.5000 0.8542